This entry pairs a crystal structure of CeDy5Hg3 with its theoretical powder diffractogram. Radiation: Cu Kα (λ = 1.5418 Å). Structure: a DFT-relaxed cell (PBE, Alexandria).
Intensities are scaled so that the largest is 100.

Cell and atoms:
Lattice parameters (Å, degrees): 9.1396 9.1396 6.8348 90.00 90.00 120.00
Fractional positions:
Ce 0.0000 0.0000 0.0000
Ce 0.0000 0.0000 0.5000
Dy 0.0000 0.3253 0.2500
Dy 0.0000 0.6747 0.7500
Dy 0.3253 0.0000 0.2500
Dy 0.3253 0.3253 0.7500
Dy 0.3333 0.6667 0.0000
Dy 0.3333 0.6667 0.5000
Dy 0.6667 0.3333 0.0000
Dy 0.6667 0.3333 0.5000
Dy 0.6747 0.0000 0.7500
Dy 0.6747 0.6747 0.2500
Hg 0.0000 0.3449 0.7500
Hg 0.0000 0.6551 0.2500
Hg 0.3449 0.0000 0.7500
Hg 0.3449 0.3449 0.2500
Hg 0.6551 0.0000 0.2500
Hg 0.6551 0.6551 0.7500

Main lines, in order of falling intensity (2θ from 10° to 90°):
| d_spacing | intensity |
| --- | --- |
| 2.638 | 100 |
| 2.737 | 96 |
| 1.542 | 33 |
| 1.899 | 32 |
| 1.434 | 31 |
| 1.523 | 18 |
| 2.088 | 17 |
| 1.137 | 15 |

=====

This entry pairs a crystal structure of K3Ta4 with its theoretical powder diffractogram. Radiation: Cu Kα (λ = 1.5418 Å). Structure: a DFT-relaxed cell (PBE, Alexandria).
Intensities are scaled so that the largest is 100.

Cell and atoms:
Lattice parameters (Å, degrees): 17.7273 17.7273 17.7273 168.60 168.60 16.14
Fractional positions:
K 0.0000 0.0000 0.0000
K 0.3099 0.3099 0.0000
K 0.6901 0.6901 0.0000
Ta 0.1111 0.1111 0.0000
Ta 0.4179 0.4179 0.0000
Ta 0.5821 0.5821 0.0000
Ta 0.8889 0.8889 0.0000

Main lines, in order of falling intensity (2θ from 10° to 90°):
| d_spacing | intensity |
| --- | --- |
| 8.776 | 100 |
| 5.851 | 38 |
| 2.489 | 34 |
| 2.881 | 31 |
| 2.613 | 22 |
| 2.142 | 19 |
| 2.394 | 19 |
| 3.510 | 18 |

=====

This entry pairs a crystal structure of Na4HgBi3Se8 with its theoretical powder diffractogram. Radiation: Cu Kα (λ = 1.5418 Å). Structure: a DFT-relaxed cell (PBE, Alexandria).
Intensities are scaled so that the largest is 100.

Cell and atoms:
Lattice parameters (Å, degrees): 8.3978 8.3978 8.6139 119.03 119.03 59.42
Fractional positions:
Na 0.0000 0.0000 0.0000
Na 0.0000 0.5000 0.0000
Na 0.5000 0.0000 0.0000
Na 0.5000 0.5000 0.0000
Hg 0.0000 0.0000 0.5000
Bi 0.0000 0.5000 0.5000
Bi 0.5000 0.0000 0.5000
Bi 0.5000 0.5000 0.5000
Se 0.2346 0.7560 0.7289
Se 0.2440 0.7654 0.2711
Se 0.2544 0.2544 0.2599
Se 0.2555 0.2555 0.7467
Se 0.7445 0.7445 0.2533
Se 0.7456 0.7456 0.7401
Se 0.7560 0.2346 0.7289
Se 0.7654 0.2440 0.2711

Main lines, in order of falling intensity (2θ from 10° to 90°):
| d_spacing | intensity |
| --- | --- |
| 2.992 | 100 |
| 7.144 | 93 |
| 2.155 | 59 |
| 3.025 | 52 |
| 2.099 | 37 |
| 3.563 | 32 |
| 1.714 | 23 |
| 2.768 | 20 |